# RbLiNd2Cl8
Calculated powder X-ray diffraction pattern, Cu Kα, 1.54184 Å. Input: a cell relaxed with GGA-PBE.
No peak broadening, texture or thermal motion is included.

Structural model:
a = 6.813 Å, b = 8.661 Å, c = 6.861 Å
α = 90.00°, β = 97.17°, γ = 90.00°
Space group P2/m (No. 10)
One atom of each set of equivalent atoms:
Rb: 0.000 0.000 0.000
Li: 0.000 0.500 0.000
Nd: 0.500 0.260 0.500
Cl: 0.211 0.294 0.195
Cl: 0.312 0.500 0.673
Cl: 0.323 0.000 0.659

Largest 6 diffraction maxima, low angle first, 10° ≤ 2θ ≤ 80°:
13.05°, d = 6.783 Å, I = 92, (1 0 0); 17.30°, d = 5.127 Å, I = 100, (1 0 -1); 19.63°, d = 4.522 Å, I = 62, (1 0 1); 24.39°, d = 3.650 Å, I = 66, (1 2 0); 26.95°, d = 3.308 Å, I = 57, (1 2 -1); 34.96°, d = 2.567 Å, I = 63, (2 2 -1)